No. 1
This entry pairs a crystal structure of Sr2ErCd10 with its calculated powder diffractogram. Radiation: λ = 1.5418 Å (Cu Kα). Structure: a GGA-PBE-relaxed structure.

Main lines, by angle (10° ≤ 2θ ≤ 90°):
| Position (°2θ) | d [Å] | intensity | (hkl) |
| --- | --- | --- | --- |
| 13.9 | 6.387 | 100 | 0 0 1 |
| 31.2 | 2.868 | 43 | 1 4 1 |
| 32.4 | 2.762 | 41 | 1 2 2 |
| 32.9 | 2.725 | 59 | 3 1 1 |
| 34.8 | 2.581 | 43 | 2 1 2 |
| 38.2 | 2.357 | 43 | 2 5 0 |
| 39.8 | 2.264 | 22 | 1 4 2 |
| 41.2 | 2.193 | 33 | 3 1 2 |

Structural model:
```
data_Sr2ErCd10
_chemical_formula_sum 'Sr4 Er2 Cd20'
_cell_length_a 9.2682
_cell_length_b 13.6862
_cell_length_c 6.3874
_cell_angle_alpha 90.00
_cell_angle_beta 90.00
_cell_angle_gamma 90.00
_symmetry_space_group_name_H-M 'P b a m'
_symmetry_Int_Tables_number 55
loop_
_symmetry_equiv_pos_as_xyz
'x,y,z'
'-x,-y,-z'
'-x,-y,z'
'x,y,-z'
'x+1/2,-y+1/2,-z'
'-x+1/2,y+1/2,z'
'-x+1/2,y+1/2,-z'
'x+1/2,-y+1/2,z'
loop_
_atom_site_label
_atom_site_fract_x
_atom_site_fract_y
_atom_site_fract_z
_atom_site_occupancy
Sr1 0.2016 0.0925 0.0000 1
Er1 0.0000 0.0000 0.5000 1
Cd1 0.0960 0.2260 0.5000 1
Cd2 0.1373 0.6398 0.5000 1
Cd3 0.1493 0.8305 0.2210 1
Cd4 0.1522 0.4382 0.5000 1
```

***

No. 2
This entry pairs a crystal structure of Tb4Er3Cd with its calculated powder diffractogram. Radiation: λ = 1.5418 Å (Cu Kα). Structure: a GGA-PBE-relaxed structure.

Main lines, by angle (10° ≤ 2θ ≤ 90°):
| Position (°2θ) | d [Å] | intensity | (hkl) |
| --- | --- | --- | --- |
| 31.4 | 2.849 | 100 | 1 0 4 |
| 35.8 | 2.510 | 37 | 1 1 0 |
| 37.7 | 2.388 | 13 | 0 0 8 |
| 51.5 | 1.775 | 13 | 2 0 0 |
| 52.9 | 1.730 | 19 | 1 1 8 |
| 61.6 | 1.507 | 29 | 2 1 4 |
| 64.1 | 1.453 | 8 | 1 0 12 |
| 65.5 | 1.425 | 10 | 2 0 8 |

Structural model:
```
data_Tb4Er3Cd
_chemical_formula_sum 'Tb4 Er3 Cd1'
_cell_length_a 3.5502
_cell_length_b 3.5502
_cell_length_c 19.1055
_cell_angle_alpha 90.00
_cell_angle_beta 90.00
_cell_angle_gamma 90.00
_symmetry_space_group_name_H-M 'P 4/m m m'
_symmetry_Int_Tables_number 123
_symmetry_space_group_name_Hall '-P 4 2'
loop_
_atom_site_label
_atom_site_fract_x
_atom_site_fract_y
_atom_site_fract_z
_atom_site_occupancy
Tb1 0.0000 0.0000 0.1103 1
Tb2 0.0000 0.0000 0.3699 1
Er1 0.5000 0.5000 0.2399 1
Er2 0.5000 0.5000 0.5000 1
Cd1 0.5000 0.5000 0.0000 1
```

***

No. 3
This entry pairs a crystal structure of Tb2Er3Cd with its calculated powder diffractogram. Radiation: λ = 1.5418 Å (Cu Kα). Structure: a GGA-PBE-relaxed structure.

Main lines, by angle (10° ≤ 2θ ≤ 90°):
| Position (°2θ) | d [Å] | intensity | (hkl) |
| --- | --- | --- | --- |
| 29.6 | 3.021 | 91 | 0 2 2 |
| 29.9 | 2.993 | 100 | 0 5 1 |
| 30.6 | 2.924 | 98 | 1 3 0 |
| 31.4 | 2.847 | 65 | 1 2 1 |
| 35.0 | 2.567 | 50 | 0 4 2 |
| 36.6 | 2.458 | 65 | 1 4 1 |
| 41.6 | 2.169 | 71 | 1 3 2 |
| 52.9 | 1.730 | 58 | 1 8 1 |

Structural model:
```
data_Tb2Er3Cd
_chemical_formula_sum 'Tb4 Er6 Cd2'
_cell_length_a 3.4218
_cell_length_b 16.8794
_cell_length_c 6.4676
_cell_angle_alpha 90.00
_cell_angle_beta 90.00
_cell_angle_gamma 90.00
_symmetry_space_group_name_H-M 'I m m 2'
_symmetry_Int_Tables_number 44
loop_
_symmetry_equiv_pos_as_xyz
'x,y,z'
'-x,-y,z'
'-x,y,z'
'x,-y,z'
'x+1/2,y+1/2,z+1/2'
'-x+1/2,-y+1/2,z+1/2'
'-x+1/2,y+1/2,z+1/2'
'x+1/2,-y+1/2,z+1/2'
loop_
_atom_site_label
_atom_site_fract_x
_atom_site_fract_y
_atom_site_fract_z
_atom_site_occupancy
Tb1 0.0000 0.1923 0.0000 1
Er1 0.0000 0.1321 0.4949 1
Er2 0.0000 0.5000 0.6895 1
Cd1 0.0000 0.0000 0.7984 1
```

***

No. 4
This entry pairs a crystal structure of Tb4Er5Cd with its calculated powder diffractogram. Radiation: λ = 1.5418 Å (Cu Kα). Structure: a GGA-PBE-relaxed structure.

Main lines, by angle (10° ≤ 2θ ≤ 90°):
| Position (°2θ) | d [Å] | intensity | (hkl) |
| --- | --- | --- | --- |
| 31.3 | 2.854 | 100 | 1 1 0 |
| 31.5 | 2.839 | 96 | 0 1 5 |
| 36.2 | 2.478 | 66 | 1 0 5 |
| 36.8 | 2.440 | 32 | 0 2 0 |
| 52.6 | 1.739 | 46 | 1 2 5 |
| 62.1 | 1.495 | 28 | 2 1 5 |
| 62.4 | 1.489 | 25 | 1 1 10 |
| 63.0 | 1.475 | 27 | 1 3 0 |

Structural model:
```
data_Tb4Er5Cd
_chemical_formula_sum 'Tb4 Er5 Cd1'
_cell_length_a 3.5183
_cell_length_b 4.8795
_cell_length_c 17.4561
_cell_angle_alpha 90.00
_cell_angle_beta 90.00
_cell_angle_gamma 90.00
_symmetry_space_group_name_H-M 'P m m m'
_symmetry_Int_Tables_number 47
loop_
_symmetry_equiv_pos_as_xyz
'x,y,z'
'-x,-y,-z'
'-x,-y,z'
'x,y,-z'
'x,-y,-z'
'-x,y,z'
'-x,y,-z'
'x,-y,z'
loop_
_atom_site_label
_atom_site_fract_x
_atom_site_fract_y
_atom_site_fract_z
_atom_site_occupancy
Tb1 0.0000 0.0000 0.1021 1
Tb2 0.0000 0.0000 0.3039 1
Er1 0.5000 0.5000 0.0000 1
Er2 0.5000 0.5000 0.2063 1
Er3 0.5000 0.5000 0.4075 1
Cd1 0.0000 0.0000 0.5000 1
```

***

No. 5
This entry pairs a crystal structure of TbEr2Cd3 with its calculated powder diffractogram. Radiation: λ = 1.5418 Å (Cu Kα). Structure: a GGA-PBE-relaxed structure.

Main lines, by angle (10° ≤ 2θ ≤ 90°):
| Position (°2θ) | d [Å] | intensity | (hkl) |
| --- | --- | --- | --- |
| 23.9 | 3.728 | 4 | 0 0 3 |
| 34.0 | 2.636 | 100 | 1 1 0 |
| 42.0 | 2.152 | 1 | 1 1 3 |
| 48.9 | 1.864 | 18 | 2 0 0 |
| 55.1 | 1.667 | 2 | 1 0 6 |
| 60.9 | 1.522 | 36 | 2 1 3 |
| 71.6 | 1.318 | 11 | 2 2 0 |
| 81.7 | 1.179 | 16 | 3 1 0 |

Structural model:
```
data_TbEr2Cd3
_chemical_formula_sum 'Tb1 Er2 Cd3'
_cell_length_a 3.7277
_cell_length_b 3.7277
_cell_length_c 11.1856
_cell_angle_alpha 90.00
_cell_angle_beta 90.00
_cell_angle_gamma 90.00
_symmetry_space_group_name_H-M 'P 4/m m m'
_symmetry_Int_Tables_number 123
_symmetry_space_group_name_Hall '-P 4 2'
loop_
_atom_site_label
_atom_site_fract_x
_atom_site_fract_y
_atom_site_fract_z
_atom_site_occupancy
Tb1 0.0000 0.0000 0.0000 1
Er1 0.0000 0.0000 0.3347 1
Cd1 0.5000 0.5000 0.1708 1
Cd2 0.5000 0.5000 0.5000 1
```

***

No. 6
This entry pairs a crystal structure of Tb8Er5Cd with its calculated powder diffractogram. Radiation: λ = 1.5418 Å (Cu Kα). Structure: a GGA-PBE-relaxed structure.

Main lines, by angle (10° ≤ 2θ ≤ 90°):
| Position (°2θ) | d [Å] | intensity | (hkl) |
| --- | --- | --- | --- |
| 28.6 | 3.122 | 59 | 1 0 3 |
| 29.5 | 3.032 | 61 | 3 0 1 |
| 29.6 | 3.021 | 82 | 3 1 0 |
| 34.3 | 2.613 | 100 | 1 2 3 |
| 34.8 | 2.579 | 46 | 3 1 2 |
| 35.1 | 2.560 | 48 | 3 2 1 |
| 55.6 | 1.653 | 36 | 0 0 6 |
| 87.5 | 1.115 | 28 | 6 2 6 |

Structural model:
```
data_Tb8Er5Cd
_chemical_formula_sum 'Tb16 Er10 Cd2'
_cell_length_a 9.5531
_cell_length_b 9.5531
_cell_length_c 9.9094
_cell_angle_alpha 90.00
_cell_angle_beta 90.00
_cell_angle_gamma 90.00
_symmetry_space_group_name_H-M 'I -4'
_symmetry_Int_Tables_number 82
loop_
_symmetry_equiv_pos_as_xyz
'x,y,z'
'y,-x,-z'
'-x,-y,z'
'-y,x,-z'
'x+1/2,y+1/2,z+1/2'
'y+1/2,-x+1/2,-z+1/2'
'-x+1/2,-y+1/2,z+1/2'
'-y+1/2,x+1/2,-z+1/2'
loop_
_atom_site_label
_atom_site_fract_x
_atom_site_fract_y
_atom_site_fract_z
_atom_site_occupancy
Tb1 0.0667 0.3278 0.0898 1
Tb2 0.0897 0.1859 0.7538 1
Er1 0.0000 0.0000 0.0000 1
Er2 0.1015 0.2043 0.4191 1
Cd1 0.0000 0.5000 0.7500 1
```

***

No. 7
This entry pairs a crystal structure of TbEr5Cd3 with its calculated powder diffractogram. Radiation: λ = 1.5418 Å (Cu Kα). Structure: a GGA-PBE-relaxed structure.

Main lines, by angle (10° ≤ 2θ ≤ 90°):
| Position (°2θ) | d [Å] | intensity | (hkl) |
| --- | --- | --- | --- |
| 32.6 | 2.749 | 100 | 1 1 2 |
| 34.1 | 2.627 | 95 | 3 0 0 |
| 47.9 | 1.899 | 34 | 2 2 2 |
| 60.1 | 1.539 | 34 | 4 1 2 |
| 61.1 | 1.517 | 17 | 3 3 0 |
| 64.6 | 1.442 | 29 | 3 0 4 |
| 81.1 | 1.185 | 15 | 5 2 2 |
| 85.2 | 1.139 | 14 | 3 3 4 |

Structural model:
```
data_TbEr5Cd3
_chemical_formula_sum 'Tb2 Er10 Cd6'
_cell_length_a 9.1014
_cell_length_b 9.1014
_cell_length_c 6.8987
_cell_angle_alpha 90.00
_cell_angle_beta 90.00
_cell_angle_gamma 120.00
_symmetry_space_group_name_H-M 'P 63/m c m'
_symmetry_Int_Tables_number 193
_symmetry_space_group_name_Hall '-P 6c 2'
loop_
_atom_site_label
_atom_site_fract_x
_atom_site_fract_y
_atom_site_fract_z
_atom_site_occupancy
Tb1 0.0000 0.0000 0.0000 1
Er1 0.0000 0.3343 0.2500 1
Er2 0.3333 0.6667 0.0000 1
Cd1 0.0000 0.3335 0.7500 1
```

***

No. 8
This entry pairs a crystal structure of TbEr4Cd4 with its calculated powder diffractogram. Radiation: λ = 1.5418 Å (Cu Kα). Structure: a GGA-PBE-relaxed structure.

Main lines, by angle (10° ≤ 2θ ≤ 90°):
| Position (°2θ) | d [Å] | intensity | (hkl) |
| --- | --- | --- | --- |
| 26.6 | 3.353 | 32 | 2 1 1 |
| 30.0 | 2.979 | 78 | 3 1 0 |
| 31.3 | 2.854 | 30 | 2 2 1 |
| 32.8 | 2.731 | 100 | 3 0 1 |
| 33.7 | 2.656 | 46 | 1 0 2 |
| 38.1 | 2.363 | 100 | 2 3 1 |
| 57.0 | 1.615 | 30 | 2 2 3 |
| 62.3 | 1.490 | 39 | 2 6 0 |

Structural model:
```
data_TbEr4Cd4
_chemical_formula_sum 'Tb2 Er8 Cd8'
_cell_length_a 9.4197
_cell_length_b 9.4197
_cell_length_c 5.5368
_cell_angle_alpha 90.00
_cell_angle_beta 90.00
_cell_angle_gamma 90.00
_symmetry_space_group_name_H-M 'P 42/n'
_symmetry_Int_Tables_number 86
loop_
_symmetry_equiv_pos_as_xyz
'x,y,z'
'-x,-y,-z'
'-y,x+1/2,z+1/2'
'y,-x+1/2,-z+1/2'
'-x+1/2,-y+1/2,z'
'x+1/2,y+1/2,-z'
'y+1/2,-x,z+1/2'
'-y+1/2,x,-z+1/2'
loop_
_atom_site_label
_atom_site_fract_x
_atom_site_fract_y
_atom_site_fract_z
_atom_site_occupancy
Tb1 0.2500 0.2500 0.2500 1
Er1 0.0979 0.8257 0.6687 1
Cd1 0.0496 0.1448 0.8297 1
```

***

No. 9
This entry pairs a crystal structure of Er6CdTe5 with its calculated powder diffractogram. Radiation: λ = 1.5418 Å (Cu Kα). Structure: a GGA-PBE-relaxed structure.

Main lines, by angle (10° ≤ 2θ ≤ 90°):
| Position (°2θ) | d [Å] | intensity | (hkl) |
| --- | --- | --- | --- |
| 29.2 | 3.063 | 100 | 2 0 -2 |
| 41.7 | 2.168 | 50 | 2 0 2 |
| 41.8 | 2.162 | 25 | 1 3 -3 |
| 51.7 | 1.768 | 13 | 2 6 -2 |
| 60.4 | 1.532 | 12 | 4 0 -4 |
| 68.4 | 1.372 | 11 | 5 3 -3 |
| 68.5 | 1.370 | 11 | 3 3 3 |
| 68.6 | 1.368 | 11 | 3 3 -5 |

Structural model:
```
data_Er6CdTe5
_chemical_formula_sum 'Er12 Cd2 Te10'
_cell_length_a 7.5233
_cell_length_b 12.9959
_cell_length_c 7.4832
_cell_angle_alpha 90.00
_cell_angle_beta 109.45
_cell_angle_gamma 90.00
_symmetry_space_group_name_H-M 'C 1 2/m 1'
_symmetry_Int_Tables_number 12
loop_
_symmetry_equiv_pos_as_xyz
'x,y,z'
'-x,-y,-z'
'-x,y,-z'
'x,-y,z'
'x+1/2,y+1/2,z'
'-x+1/2,-y+1/2,-z'
'-x+1/2,y+1/2,-z'
'x+1/2,-y+1/2,z'
loop_
_atom_site_label
_atom_site_fract_x
_atom_site_fract_y
_atom_site_fract_z
_atom_site_occupancy
Er1 0.2353 0.0000 0.2543 1
Er2 0.2381 0.1598 0.7381 1
Cd1 0.0000 0.0000 0.5000 1
Te1 0.0000 0.1749 0.0000 1
Te2 0.0000 0.3359 0.5000 1
Te3 0.0000 0.5000 0.0000 1
```

***

No. 10
This entry pairs a crystal structure of ErCdTe3 with its calculated powder diffractogram. Radiation: λ = 1.5418 Å (Cu Kα). Structure: a GGA-PBE-relaxed structure.

Main lines, by angle (10° ≤ 2θ ≤ 90°):
| Position (°2θ) | d [Å] | intensity | (hkl) |
| --- | --- | --- | --- |
| 14.3 | 6.199 | 33 | 1 0 -1 |
| 24.4 | 3.644 | 100 | 1 1 -1 |
| 28.2 | 3.167 | 59 | 1 0 3 |
| 35.1 | 2.553 | 56 | 2 1 -2 |
| 40.0 | 2.255 | 82 | 0 2 0 |
| 41.4 | 2.180 | 39 | 1 1 -5 |
| 43.8 | 2.067 | 23 | 3 0 -3 |
| 49.7 | 1.835 | 24 | 1 2 3 |

Structural model:
```
data_ErCdTe3
_chemical_formula_sum 'Er2 Cd2 Te6'
_cell_length_a 6.4883
_cell_length_b 4.5033
_cell_length_c 12.6656
_cell_angle_alpha 90.00
_cell_angle_beta 102.20
_cell_angle_gamma 90.00
_symmetry_space_group_name_H-M 'P 1 21/m 1'
_symmetry_Int_Tables_number 11
loop_
_symmetry_equiv_pos_as_xyz
'x,y,z'
'-x,-y,-z'
'-x,y+1/2,-z'
'x,-y+1/2,z'
loop_
_atom_site_label
_atom_site_fract_x
_atom_site_fract_y
_atom_site_fract_z
_atom_site_occupancy
Er1 0.0058 0.2500 0.3395 1
Cd1 0.4894 0.2500 0.8807 1
Te1 0.2268 0.7500 0.8968 1
Te2 0.2419 0.2500 0.5773 1
Te3 0.2813 0.7500 0.2858 1
```

***

No. 11
This entry pairs a crystal structure of Er4CdTe with its calculated powder diffractogram. Radiation: λ = 1.5418 Å (Cu Kα). Structure: a GGA-PBE-relaxed structure.

Main lines, by angle (10° ≤ 2θ ≤ 90°):
| Position (°2θ) | d [Å] | intensity | (hkl) |
| --- | --- | --- | --- |
| 21.5 | 4.128 | 17 | 0 2 0 |
| 26.8 | 3.331 | 34 | 1 2 0 |
| 31.9 | 2.803 | 100 | 1 0 2 |
| 32.3 | 2.774 | 50 | 2 1 -1 |
| 35.8 | 2.512 | 28 | 1 1 -3 |
| 36.7 | 2.449 | 15 | 1 3 -1 |
| 40.1 | 2.250 | 17 | 2 2 -2 |
| 50.2 | 1.817 | 22 | 2 3 1 |

Structural model:
```
data_Er4CdTe
_chemical_formula_sum 'Er8 Cd2 Te2'
_cell_length_a 5.9070
_cell_length_b 8.2560
_cell_length_c 8.0115
_cell_angle_alpha 90.00
_cell_angle_beta 107.37
_cell_angle_gamma 90.00
_symmetry_space_group_name_H-M 'P 1 21/m 1'
_symmetry_Int_Tables_number 11
loop_
_symmetry_equiv_pos_as_xyz
'x,y,z'
'-x,-y,-z'
'-x,y+1/2,-z'
'x,-y+1/2,z'
loop_
_atom_site_label
_atom_site_fract_x
_atom_site_fract_y
_atom_site_fract_z
_atom_site_occupancy
Er1 0.0021 0.0523 0.2561 1
Er2 0.3848 0.7500 0.5290 1
Er3 0.4322 0.2500 0.0143 1
Cd1 0.1897 0.2500 0.5976 1
Te1 0.1164 0.7500 0.0848 1
```

***

No. 12
This entry pairs a crystal structure of ErThCd2 with its calculated powder diffractogram. Radiation: λ = 1.5418 Å (Cu Kα). Structure: a GGA-PBE-relaxed structure.

Main lines, by angle (10° ≤ 2θ ≤ 90°):
| Position (°2θ) | d [Å] | intensity | (hkl) |
| --- | --- | --- | --- |
| 32.9 | 2.725 | 100 | 1 0 2 |
| 36.2 | 2.483 | 39 | 1 1 0 |
| 41.8 | 2.160 | 12 | 0 0 4 |
| 52.1 | 1.756 | 14 | 2 0 0 |
| 56.5 | 1.630 | 20 | 1 1 4 |
| 63.0 | 1.476 | 31 | 2 1 2 |
| 68.9 | 1.362 | 11 | 2 0 4 |
| 70.7 | 1.332 | 10 | 1 0 6 |

Structural model:
```
data_ErThCd2
_chemical_formula_sum 'Er1 Th1 Cd2'
_cell_length_a 3.5119
_cell_length_b 3.5119
_cell_length_c 8.6397
_cell_angle_alpha 90.00
_cell_angle_beta 90.00
_cell_angle_gamma 90.00
_symmetry_space_group_name_H-M 'P 4/m m m'
_symmetry_Int_Tables_number 123
_symmetry_space_group_name_Hall '-P 4 2'
loop_
_atom_site_label
_atom_site_fract_x
_atom_site_fract_y
_atom_site_fract_z
_atom_site_occupancy
Er1 0.0000 0.0000 0.0000 1
Th1 0.0000 0.0000 0.5000 1
Cd1 0.5000 0.5000 0.2334 1
```